No. 1
Computed powder X-ray diffraction pattern
Compound: Nd3TlS2
Radiation: Cu Ka
Structure: a structure optimized by DFT (GGA-PBE)

Most intense lines, 10 to 90 degrees two-theta, low angle first:
| (hkl) | d_spacing | intensity |
| --- | --- | --- |
| 1 1 2 | 3.418 | 60 |
| 1 3 1 | 3.120 | 100 |
| 0 2 3 | 2.950 | 37 |
| 1 3 2 | 2.741 | 93 |
| 1 1 3 | 2.711 | 65 |
| 2 0 0 | 2.527 | 58 |
| 0 0 4 | 2.485 | 28 |
| 1 3 5 | 1.701 | 33 |

Cell and atoms:
```
data_Nd3TlS2
_cell_length_a 5.0536
_cell_length_b 12.9780
_cell_length_c 9.9380
_cell_angle_alpha 90.00
_cell_angle_beta 90.00
_cell_angle_gamma 90.00
_symmetry_space_group_name_H-M 'C m c m'
_symmetry_Int_Tables_number 63
_symmetry_space_group_name_Hall '-C 2c 2'
loop_
_atom_site_label
_atom_site_type_symbol
_atom_site_fract_x
_atom_site_fract_y
_atom_site_fract_z
_atom_site_occupancy
Nd1 Nd 0.0000 0.1049 0.2500 1
Nd2 Nd 0.0000 0.3700 0.0506 1
Tl1 Tl 0.0000 0.2227 0.7500 1
S1 S 0.0000 0.0000 0.0000 1
S2 S 0.0000 0.4707 0.7500 1
```

=====

No. 2
Computed powder X-ray diffraction pattern
Compound: Y2CuMo
Radiation: Cu Ka
Structure: a structure optimized by DFT (GGA-PBE)

Most intense lines, 10 to 90 degrees two-theta, low angle first:
| (hkl) | d_spacing | intensity |
| --- | --- | --- |
| 1 1 2 | 2.531 | 100 |
| 0 0 4 | 2.383 | 21 |
| 2 0 0 | 2.112 | 29 |
| 2 0 4 | 1.581 | 22 |
| 2 2 0 | 1.494 | 9 |
| 1 1 6 | 1.403 | 15 |
| 3 1 2 | 1.286 | 22 |
| 2 2 4 | 1.266 | 10 |

Cell and atoms:
```
data_Y2CuMo
_cell_length_a 4.2248
_cell_length_b 4.2248
_cell_length_c 9.5316
_cell_angle_alpha 90.00
_cell_angle_beta 90.00
_cell_angle_gamma 90.00
_symmetry_space_group_name_H-M 'I -4 m 2'
_symmetry_Int_Tables_number 119
_symmetry_space_group_name_Hall 'I -4 -2'
loop_
_atom_site_label
_atom_site_type_symbol
_atom_site_fract_x
_atom_site_fract_y
_atom_site_fract_z
_atom_site_occupancy
Y1 Y 0.0000 0.0000 0.0000 1
Y2 Y 0.0000 0.5000 0.2500 1
Cu1 Cu 0.0000 0.5000 0.7500 1
Mo1 Mo 0.0000 0.0000 0.5000 1
```